1.
Calculated powder XRD pattern
Compound: Rb3AlTe4
Radiation: CuKα
Structure: a DFT-relaxed cell (GGA-PBE, Alexandria)
Kinematic intensities with the Lorentz-polarization factor, no thermal factor.

Principal peaks in the range 15° ≤ 2θ ≤ 90°, by intensity:
Position (°2θ)	I_rel
22.67	100
22.53	91
31.98	90
29.57	77
52.32	65
20.57	57
32.18	57
39.17	50

Crystal structure
Cell: 6.107 15.514 7.843 Å, 90.00 90.00 90.00°
Element x y z (fractional)
Rb: 0.000 0.000 0.000
Rb: 0.000 0.285 0.847
Rb: 0.000 0.715 0.847
Rb: 0.500 0.215 0.347
Rb: 0.500 0.500 0.500
Rb: 0.500 0.785 0.347
Al: 0.000 0.500 0.218
Al: 0.500 0.000 0.718
Te: 0.000 0.355 0.378
Te: 0.000 0.645 0.378
Te: 0.244 0.000 0.439
Te: 0.256 0.500 0.939
Te: 0.500 0.145 0.878
Te: 0.500 0.855 0.878
Te: 0.744 0.500 0.939
Te: 0.756 0.000 0.439



2.
Calculated powder XRD pattern
Compound: Rb4AlTl4
Radiation: CuKα
Structure: a DFT-relaxed cell (GGA-PBE, Alexandria)
Kinematic intensities with the Lorentz-polarization factor, no thermal factor.

Principal peaks in the range 15° ≤ 2θ ≤ 90°, by intensity:
Position (°2θ)	I_rel
26.31	100
27.28	54
33.23	49
47.62	27
38.96	20
52.12	18
53.91	18
28.74	17

Crystal structure
Cell: 10.978 10.978 10.978 Å, 145.35 145.35 49.81°
Element x y z (fractional)
Rb: 0.083 0.609 0.000
Rb: 0.391 0.391 0.475
Rb: 0.609 0.083 0.000
Rb: 0.917 0.917 0.525
Al: 0.000 0.000 0.000
Tl: 0.241 0.241 0.578
Tl: 0.338 0.759 0.000
Tl: 0.662 0.662 0.422
Tl: 0.759 0.338 0.000



3.
Calculated powder XRD pattern
Compound: RbAlZn2
Radiation: CuKα
Structure: a DFT-relaxed cell (GGA-PBE, Alexandria)
Kinematic intensities with the Lorentz-polarization factor, no thermal factor.

Principal peaks in the range 15° ≤ 2θ ≤ 90°, by intensity:
Position (°2θ)	I_rel
22.53	100
24.56	83
35.53	62
33.20	60
50.35	57
31.49	43
38.41	25
45.99	23

Crystal structure
Cell: 5.718 5.718 16.367 Å, 90.00 90.00 90.00°
Element x y z (fractional)
Rb: 0.000 0.250 0.375
Rb: 0.000 0.750 0.625
Rb: 0.500 0.250 0.125
Rb: 0.500 0.750 0.875
Al: 0.000 0.250 0.875
Al: 0.000 0.750 0.125
Al: 0.500 0.250 0.625
Al: 0.500 0.750 0.375
Zn: 0.000 0.000 0.000
Zn: 0.000 0.500 0.000
Zn: 0.250 0.250 0.750
Zn: 0.250 0.750 0.250
Zn: 0.500 0.000 0.500
Zn: 0.500 0.500 0.500
Zn: 0.750 0.250 0.750
Zn: 0.750 0.750 0.250



4.
Calculated powder XRD pattern
Compound: Al13Re2
Radiation: CuKα
Structure: a DFT-relaxed cell (GGA-PBE, Alexandria)
Kinematic intensities with the Lorentz-polarization factor, no thermal factor.

Principal peaks in the range 15° ≤ 2θ ≤ 90°, by intensity:
Position (°2θ)	I_rel
16.48	100
19.90	82
21.70	70
20.53	58
39.26	57
43.20	41
42.84	39
23.50	38

Crystal structure
Cell: 5.263 6.865 7.044 Å, 77.68 89.30 80.42°
Element x y z (fractional)
Al: 0.000 0.000 0.000
Al: 0.011 0.405 0.349
Al: 0.203 0.969 0.607
Al: 0.242 0.610 0.001
Al: 0.328 0.251 0.809
Al: 0.335 0.123 0.198
Al: 0.498 0.605 0.633
Al: 0.502 0.395 0.367
Al: 0.665 0.877 0.802
Al: 0.672 0.749 0.191
Al: 0.758 0.390 0.999
Al: 0.797 0.031 0.393
Al: 0.989 0.595 0.651
Re: 0.184 0.758 0.323
Re: 0.816 0.242 0.677



5.
Calculated powder XRD pattern
Compound: Al4Re3
Radiation: CuKα
Structure: a DFT-relaxed cell (GGA-PBE, Alexandria)
Kinematic intensities with the Lorentz-polarization factor, no thermal factor.

Principal peaks in the range 15° ≤ 2θ ≤ 90°, by intensity:
Position (°2θ)	I_rel
42.32	100
31.26	68
17.48	61
40.40	57
74.78	38
44.33	24
58.46	20
78.69	16

Crystal structure
Cell: 3.157 3.157 20.297 Å, 90.00 90.00 90.00°
Element x y z (fractional)
Al: 0.000 0.000 0.067
Al: 0.000 0.000 0.360
Al: 0.000 0.000 0.640
Al: 0.000 0.000 0.933
Al: 0.500 0.500 0.140
Al: 0.500 0.500 0.433
Al: 0.500 0.500 0.567
Al: 0.500 0.500 0.860
Re: 0.000 0.000 0.212
Re: 0.000 0.000 0.500
Re: 0.000 0.000 0.788
Re: 0.500 0.500 0.000
Re: 0.500 0.500 0.288
Re: 0.500 0.500 0.712



6.
Calculated powder XRD pattern
Compound: Al6Re
Radiation: CuKα
Structure: a DFT-relaxed cell (GGA-PBE, Alexandria)
Kinematic intensities with the Lorentz-polarization factor, no thermal factor.

Principal peaks in the range 15° ≤ 2θ ≤ 90°, by intensity:
Position (°2θ)	I_rel
17.73	100
26.56	77
43.90	65
42.98	56
41.24	47
19.61	44
23.28	31
30.62	29

Crystal structure
Cell: 5.054 5.054 9.053 Å, 90.00 90.00 81.79°
Element x y z (fractional)
Al: 0.029 0.611 0.250
Al: 0.131 0.869 0.600
Al: 0.131 0.869 0.900
Al: 0.324 0.324 0.000
Al: 0.324 0.324 0.500
Al: 0.389 0.971 0.250
Al: 0.611 0.029 0.750
Al: 0.676 0.676 0.000
Al: 0.676 0.676 0.500
Al: 0.869 0.131 0.100
Al: 0.869 0.131 0.400
Al: 0.971 0.389 0.750
Re: 0.456 0.544 0.750
Re: 0.544 0.456 0.250



7.
Calculated powder XRD pattern
Compound: AlRe5
Radiation: CuKα
Structure: a DFT-relaxed cell (GGA-PBE, Alexandria)
Kinematic intensities with the Lorentz-polarization factor, no thermal factor.

Principal peaks in the range 15° ≤ 2θ ≤ 90°, by intensity:
Position (°2θ)	I_rel
42.45	100
43.44	50
40.27	39
82.53	36
37.15	28
74.71	19
55.94	19
68.42	17

Crystal structure
Cell: 4.479 2.822 14.119 Å, 90.00 90.00 90.00°
Element x y z (fractional)
Al: 0.000 0.000 0.000
Al: 0.000 0.500 0.500
Re: 0.000 0.000 0.328
Re: 0.000 0.000 0.663
Re: 0.000 0.500 0.163
Re: 0.000 0.500 0.828
Re: 0.500 0.000 0.220
Re: 0.500 0.000 0.551
Re: 0.500 0.000 0.888
Re: 0.500 0.500 0.051
Re: 0.500 0.500 0.388
Re: 0.500 0.500 0.720



8.
Calculated powder XRD pattern
Compound: AlRe
Radiation: CuKα
Structure: a DFT-relaxed cell (GGA-PBE, Alexandria)
Kinematic intensities with the Lorentz-polarization factor, no thermal factor.

Principal peaks in the range 15° ≤ 2θ ≤ 90°, by intensity:
Position (°2θ)	I_rel
15.91	100
40.65	92
42.51	81
33.09	49
41.08	43
42.40	41
28.15	27
35.71	25

Crystal structure
Cell: 10.126 3.082 5.879 Å, 90.00 108.60 90.00°
Element x y z (fractional)
Al: 0.000 0.000 0.000
Al: 0.162 0.500 0.829
Al: 0.338 0.000 0.171
Al: 0.500 0.500 0.000
Al: 0.662 0.000 0.829
Al: 0.838 0.500 0.171
Re: 0.000 0.000 0.500
Re: 0.174 0.500 0.324
Re: 0.326 0.000 0.676
Re: 0.500 0.500 0.500
Re: 0.674 0.000 0.324
Re: 0.826 0.500 0.676



9.
Calculated powder XRD pattern
Compound: AlRe5
Radiation: CuKα
Structure: a DFT-relaxed cell (GGA-PBE, Alexandria)
Kinematic intensities with the Lorentz-polarization factor, no thermal factor.

Principal peaks in the range 15° ≤ 2θ ≤ 90°, by intensity:
Position (°2θ)	I_rel
40.15	100
45.28	36
80.11	27
69.27	19
49.44	13
65.97	12
86.70	11
86.28	10

Crystal structure
Cell: 2.832 2.832 11.061 Å, 90.00 90.00 90.00°
Element x y z (fractional)
Al: 0.000 0.000 0.000
Re: 0.000 0.000 0.323
Re: 0.000 0.000 0.677
Re: 0.500 0.500 0.161
Re: 0.500 0.500 0.500
Re: 0.500 0.500 0.839



10.
Calculated powder XRD pattern
Compound: AlReSe
Radiation: CuKα
Structure: a DFT-relaxed cell (GGA-PBE, Alexandria)
Kinematic intensities with the Lorentz-polarization factor, no thermal factor.

Principal peaks in the range 15° ≤ 2θ ≤ 90°, by intensity:
Position (°2θ)	I_rel
41.28	100
15.29	99
39.65	65
34.82	46
62.45	41
43.09	37
35.39	37
38.23	23

Crystal structure
Cell: 2.975 2.975 28.966 Å, 90.00 90.00 120.00°
Element x y z (fractional)
Al: 0.333 0.667 0.108
Al: 0.333 0.667 0.638
Al: 0.667 0.333 0.362
Al: 0.667 0.333 0.892
Re: 0.333 0.667 0.820
Re: 0.333 0.667 0.965
Re: 0.667 0.333 0.035
Re: 0.667 0.333 0.180
Se: 0.333 0.667 0.242
Se: 0.333 0.667 0.434
Se: 0.667 0.333 0.566
Se: 0.667 0.333 0.758



11.
Calculated powder XRD pattern
Compound: AlReTc2Sn
Radiation: CuKα
Structure: a DFT-relaxed cell (GGA-PBE, Alexandria)
Kinematic intensities with the Lorentz-polarization factor, no thermal factor.

Principal peaks in the range 15° ≤ 2θ ≤ 90°, by intensity:
Position (°2θ)	I_rel
18.40	100
37.29	65
32.05	58
53.50	46
36.94	33
41.88	30
41.57	26
67.03	23

Crystal structure
Cell: 4.822 4.822 4.867 Å, 90.00 90.00 90.00°
Element x y z (fractional)
Al: 0.000 0.000 0.000
Re: 0.500 0.500 0.000
Tc: 0.000 0.500 0.500
Tc: 0.500 0.000 0.500
Sn: 0.500 0.500 0.500



12.
Calculated powder XRD pattern
Compound: TbAl11Re
Radiation: CuKα
Structure: a DFT-relaxed cell (GGA-PBE, Alexandria)
Kinematic intensities with the Lorentz-polarization factor, no thermal factor.

Principal peaks in the range 15° ≤ 2θ ≤ 90°, by intensity:
Position (°2θ)	I_rel
39.30	100
19.44	96
27.15	50
33.80	47
27.86	44
39.49	41
38.83	39
39.97	38

Crystal structure
Cell: 6.882 6.882 7.106 Å, 98.02 98.02 134.88°
Element x y z (fractional)
Tb: 0.000 0.000 0.000
Al: 0.000 0.000 0.500
Al: 0.000 0.500 0.000
Al: 0.019 0.365 0.359
Al: 0.286 0.501 0.779
Al: 0.365 0.019 0.359
Al: 0.499 0.714 0.221
Al: 0.500 0.000 0.000
Al: 0.501 0.286 0.779
Al: 0.635 0.981 0.641
Al: 0.714 0.499 0.221
Al: 0.981 0.635 0.641
Re: 0.500 0.500 0.500